Theoretical X-ray powder pattern
Compound: SrThCd4
Radiation: CuKα
Structure: a crystal structure in Alexandria, relaxed with GGA-PBE

Largest 10 diffraction maxima, in order of rising 2θ, 2θ from 10° to 90°:
| d_spacing | 2θ (°) | I (rel.) |
| --- | --- | --- |
| 2.761 | 32.43 | 100 |
| 2.573 | 34.87 | 84 |
| 1.882 | 48.36 | 32 |
| 1.759 | 52.00 | 9 |
| 1.519 | 61.00 | 32 |
| 1.485 | 62.53 | 15 |
| 1.452 | 64.15 | 28 |
| 1.286 | 73.64 | 9 |
| 1.166 | 82.78 | 14 |
| 1.134 | 85.62 | 19 |

Cell and atoms:
abc: 3.517 5.146 8.911
angles: 90.00 90.00 90.00
Space group Pmmm (No. 47)
Unique sites:
Sr 0.000 0.000 0.000
Th 0.000 0.500 0.500
Cd 0.500 0.000 0.336
Cd 0.500 0.500 0.169